Structure and simulated X-ray powder pattern of Sr3UFe2O9 (a crystal structure in the Materials Project, relaxed with PBE+U; Cu Kα (λ = 1.5418 Å)).

Cell and atoms:
Cell: 5.7518 8.2371 17.4544 Å, 90.00 90.00 90.00°
Space group Immm (No. 71)
Symmetry-distinct sites (fractional):
Sr 0.0000 0.2184 0.0000
Sr 0.0000 0.2699 0.3508
U 0.0000 0.5000 0.1686
Fe 0.0000 0.0000 0.1632
Fe 0.0000 0.0000 0.5000
Fe 0.0000 0.5000 0.5000
O 0.0000 0.2469 0.1639
O 0.0000 0.2473 0.5000
O 0.2433 0.0000 0.4150
O 0.2479 0.5000 0.2545
O 0.2493 0.0000 0.0828

Main lines, in order of rising 2θ (2θ = 10–90°):
d/Å	I/Imax	index
4.716	13	1 1 0
2.904	100	1 2 3
2.876	21	2 0 0
2.059	13	0 4 0
2.045	26	2 0 6
1.679	20	0 4 6
1.665	16	3 2 3
1.451	14	2 4 6